Theoretical powder XRD pattern
Compound: Zn15B6Rh17
Radiation: a wavelength of 1.5418 Å
Structure: DFT lattice parameters and positions (GGA-PBE)

Largest 12 diffraction maxima, in order of rising 2θ, 2θ from 10° to 90°:
two_theta	I_rel	(hkl)
35.9	18	1 0 3
36.9	16	0 1 6
39.5	26	0 2 6
39.9	42	1 3 1
40.2	100	0 4 4
41.3	29	1 3 2
43.5	70	1 0 5
44.3	40	0 5 3
45.5	58	1 4 1
64.6	21	2 0 0
73.6	17	1 5 8
78.9	26	2 4 4

Cell lengths 2.8856, 11.2110, 14.9929 Å; angles 90.00, 90.00, 90.00 degrees
Space group Pmm2 (No. 25)
Inequivalent atoms, fractional coordinates:
Zn1 0.0000 0.0000 0.0000 [1 per cell]
Zn2 0.0000 0.1143 0.6553 [2 per cell]
Zn3 0.0000 0.1253 0.4220 [2 per cell]
Zn4 0.0000 0.2023 0.2538 [2 per cell]
Zn5 0.0000 0.2971 0.0521 [2 per cell]
Zn6 0.0000 0.3699 0.8881 [2 per cell]
Zn7 0.0000 0.3833 0.6447 [2 per cell]
Zn8 0.0000 0.5000 0.3058 [1 per cell]
Zn9 0.5000 0.5000 0.7713 [1 per cell]
B1 0.0000 0.0000 0.1823 [1 per cell]
B2 0.0000 0.1449 0.8313 [2 per cell]
B3 0.0000 0.3561 0.4731 [2 per cell]
B4 0.0000 0.5000 0.1229 [1 per cell]
Rh1 0.5000 0.0000 0.2938 [1 per cell]
Rh2 0.5000 0.0000 0.5346 [1 per cell]
Rh3 0.5000 0.0000 0.7912 [1 per cell]
Rh4 0.5000 0.1218 0.1223 [2 per cell]
Rh5 0.5000 0.1738 0.9343 [2 per cell]
Rh6 0.5000 0.2503 0.5444 [2 per cell]
Rh7 0.5000 0.2578 0.7594 [2 per cell]
Rh8 0.5000 0.3242 0.3700 [2 per cell]
Rh9 0.5000 0.3784 0.1822 [2 per cell]
Rh10 0.5000 0.5000 0.0091 [1 per cell]
Rh11 0.5000 0.5000 0.5150 [1 per cell]



Theoretical powder XRD pattern
Compound: ZrBRh3
Radiation: a wavelength of 1.5418 Å
Structure: DFT lattice parameters and positions (GGA-PBE)

Largest 6 diffraction maxima, in order of rising 2θ, 2θ from 10° to 90°:
two_theta	I_rel	(hkl)
21.4	1	1 0 0
37.5	100	1 1 1
43.6	52	2 0 0
63.4	34	2 2 0
76.0	36	3 1 1
80.1	11	2 2 2

Cell lengths 4.1508, 4.1508, 4.1508 Å; angles 90.00, 90.00, 90.00 degrees
Space group Pm-3m (No. 221)
Inequivalent atoms, fractional coordinates:
Zr1 0.0000 0.0000 0.0000 [1 per cell]
B1 0.5000 0.5000 0.5000 [1 per cell]
Rh1 0.0000 0.5000 0.5000 [3 per cell]



Theoretical powder XRD pattern
Compound: BRu3
Radiation: a wavelength of 1.5418 Å
Structure: DFT lattice parameters and positions (GGA-PBE)

Largest 12 diffraction maxima, in order of rising 2θ, 2θ from 10° to 90°:
two_theta	I_rel	(hkl)
29.3	39	1 0 1
33.7	13	1 1 0
39.1	26	2 0 0
44.6	24	0 0 2
45.2	100	2 0 1
52.5	6	2 1 0
57.0	6	1 1 2
60.8	14	2 0 2
70.8	16	2 2 0
82.7	17	2 0 3
87.7	19	2 2 2
88.1	14	4 0 1

Cell lengths 5.3223, 5.3223, 4.0621 Å; angles 90.00, 90.00, 120.00 degrees
Space group P6_3/mmc (No. 194)
Inequivalent atoms, fractional coordinates:
B1 0.3333 0.6667 0.2500 [2 per cell]
Ru1 0.1746 0.3493 0.7500 [6 per cell]